Structure and simulated powder X-ray diffraction pattern of ZnBi2O6 (a cell relaxed with GGA-PBE; copper Kα).
Peak positions follow from Bragg's law for the DFT cell and can differ from measured ones.

Top 6 peaks for 2θ from 10° to 90°, by angle:
| 2theta | I/Imax | hkl |
| --- | --- | --- |
| 22.1 | 29 | 2 0 0 |
| 22.5 | 56 | 0 1 1 |
| 31.8 | 100 | 2 1 1 |
| 32.2 | 19 | 0 0 2 |
| 51.5 | 23 | 0 3 1 |
| 57.1 | 20 | 2 1 3 |

Structural model:
Lattice parameters (Å, degrees): 8.0322 5.6192 5.5617 90.00 90.00 90.00
Fractional coordinates of all 18 atoms:
Zn1 0.0000 0.1962 0.0000
Zn2 0.5000 0.8038 0.5000
Bi1 0.2496 0.2534 0.4948
Bi2 0.2504 0.7466 0.9948
Bi3 0.7504 0.2534 0.4948
Bi4 0.7496 0.7466 0.9948
O1 0.0000 0.3068 0.6473
O2 0.0000 0.8454 0.8896
O3 0.1774 0.9439 0.3077
O4 0.1780 0.4125 0.1514
O5 0.3220 0.5875 0.6514
O6 0.3226 0.0561 0.8077
O7 0.5000 0.1546 0.3896
O8 0.5000 0.6932 0.1473
O9 0.6774 0.0561 0.8077
O10 0.6780 0.5875 0.6514
O11 0.8220 0.4125 0.1514
O12 0.8226 0.9439 0.3077